(1)
Theoretical powder XRD pattern of Ca2InB3Pt12 for Cu Kα X-rays, from the PBE geometry in Alexandria.

Crystal structure
```
Ca2InB3Pt12
1.0
4.010 2.315 5.743
-4.010 2.315 5.743
0.000 -4.630 5.743
Ca In B Pt
2 1 3 12
direct
0.096 0.096 0.096
0.904 0.904 0.904
0.500 0.500 0.500
0.000 0.500 0.500
0.500 0.000 0.500
0.500 0.500 0.000
0.101 0.634 0.634
0.180 0.180 0.588
0.180 0.588 0.180
0.366 0.366 0.899
0.366 0.899 0.366
0.412 0.820 0.820
0.588 0.180 0.180
0.634 0.101 0.634
0.634 0.634 0.101
0.820 0.412 0.820
0.820 0.820 0.412
0.899 0.366 0.366
```

Most intense lines, 10° ≤ 2θ ≤ 80°, in order of rising 2θ:
2θ = 13.7°, I = 15; 2θ = 24.3°, I = 22; 2θ = 33.1°, I = 100; 2θ = 35.8°, I = 39; 2θ = 36.7°, I = 23; 2θ = 40.2°, I = 32; 2θ = 45.2°, I = 51; 2θ = 49.8°, I = 23

=====

(2)
Theoretical powder XRD pattern of Ce2NdPb3 for Cu Kα X-rays, from the PBE geometry in Alexandria.

Crystal structure
```
Ce2NdPb3
1.0
7.107 0.000 0.000
0.000 4.913 0.000
0.000 0.000 10.543
Ce Nd Pb
4 2 6
direct
0.000 0.000 0.000
0.250 0.500 0.199
0.500 0.000 0.000
0.750 0.500 0.801
0.250 0.500 0.558
0.750 0.500 0.442
0.027 0.000 0.345
0.250 0.500 0.877
0.473 0.000 0.345
0.527 0.000 0.655
0.750 0.500 0.123
0.973 0.000 0.655
```

Most intense lines, 10° ≤ 2θ ≤ 80°, in order of rising 2θ:
2θ = 28.3°, I = 15; 2θ = 31.1°, I = 100; 2θ = 31.3°, I = 70; 2θ = 33.8°, I = 22; 2θ = 35.9°, I = 46; 2θ = 36.6°, I = 34; 2θ = 52.2°, I = 32; 2θ = 61.4°, I = 17

=====

(3)
Theoretical powder XRD pattern of TbCeHo2N4 for Cu Kα X-rays, from the PBE geometry in Alexandria.

Crystal structure
```
TbCeHo2N4
1.0
6.036 0.000 0.000
0.000 3.493 0.000
-1.996 0.000 5.697
Tb Ce Ho N
1 1 2 4
direct
0.000 0.000 0.000
0.000 0.500 0.500
0.500 0.000 0.500
0.500 0.500 0.000
0.251 0.500 0.253
0.252 0.000 0.750
0.748 0.000 0.250
0.749 0.500 0.747
```

Most intense lines, 10° ≤ 2θ ≤ 80°, in order of rising 2θ:
2θ = 31.4°, I = 100; 2θ = 36.4°, I = 48; 2θ = 36.5°, I = 24; 2θ = 52.5°, I = 50; 2θ = 62.4°, I = 30; 2θ = 62.5°, I = 15; 2θ = 65.5°, I = 17; 2θ = 77.3°, I = 5

=====

(4)
Theoretical powder XRD pattern of NaLi5Bi6 for Cu Kα X-rays, from the PBE geometry in Alexandria.

Crystal structure
```
NaLi5Bi6
1.0
4.692 0.000 0.000
0.000 8.712 0.000
-2.335 0.000 7.310
Na Li Bi
1 5 6
direct
0.000 0.000 0.000
0.000 0.500 0.000
0.329 0.000 0.657
0.332 0.500 0.663
0.668 0.500 0.337
0.671 0.000 0.343
0.168 0.257 0.336
0.168 0.743 0.336
0.500 0.262 0.000
0.500 0.738 0.000
0.832 0.257 0.664
0.832 0.743 0.664
```

Most intense lines, 10° ≤ 2θ ≤ 80°, in order of rising 2θ:
2θ = 20.4°, I = 71; 2θ = 26.4°, I = 79; 2θ = 33.6°, I = 100; 2θ = 36.9°, I = 20; 2θ = 42.5°, I = 23; 2θ = 43.8°, I = 21; 2θ = 49.8°, I = 28; 2θ = 58.6°, I = 18

=====

(5)
Theoretical powder XRD pattern of YZr2Tc9 for Cu Kα X-rays, from the PBE geometry in Alexandria.

Crystal structure
```
YZr2Tc9
1.0
2.633 1.520 8.684
-2.633 1.520 8.684
0.000 -3.040 8.684
Y Zr Tc
1 2 9
direct
0.000 0.000 0.000
0.143 0.143 0.143
0.857 0.857 0.857
0.076 0.590 0.590
0.336 0.336 0.336
0.410 0.410 0.924
0.410 0.924 0.410
0.500 0.500 0.500
0.590 0.076 0.590
0.590 0.590 0.076
0.664 0.664 0.664
0.924 0.410 0.410
```

Most intense lines, 10° ≤ 2θ ≤ 80°, in order of rising 2θ:
2θ = 33.8°, I = 18; 2θ = 34.1°, I = 23; 2θ = 39.7°, I = 28; 2θ = 40.1°, I = 100; 2θ = 41.6°, I = 27; 2θ = 43.3°, I = 36; 2θ = 65.0°, I = 23; 2θ = 71.7°, I = 24

=====

(6)
Theoretical powder XRD pattern of Na3P11 for Cu Kα X-rays, from the PBE geometry in Alexandria.

Crystal structure
```
Na3P11
1.0
9.906 0.000 0.000
0.000 12.601 0.000
0.000 0.000 10.615
Na P
12 44
direct
0.000 0.249 0.250
0.000 0.751 0.750
0.247 0.492 0.578
0.247 0.508 0.078
0.253 0.008 0.078
0.253 0.992 0.578
0.500 0.251 0.750
0.500 0.749 0.250
0.747 0.008 0.422
0.747 0.992 0.922
0.753 0.492 0.922
0.753 0.508 0.422
0.000 0.003 0.250
0.000 0.997 0.750
0.023 0.353 0.509
0.023 0.647 0.009
0.083 0.112 0.882
0.083 0.888 0.382
0.087 0.385 0.817
0.087 0.615 0.317
0.104 0.200 0.570
0.104 0.800 0.070
0.192 0.233 0.763
0.192 0.767 0.263
0.308 0.267 0.263
0.308 0.733 0.763
0.396 0.300 0.070
0.396 0.700 0.570
0.413 0.115 0.317
0.413 0.885 0.817
0.417 0.388 0.382
0.417 0.612 0.882
0.477 0.147 0.009
0.477 0.853 0.509
0.500 0.497 0.750
0.500 0.503 0.250
0.523 0.147 0.491
0.523 0.853 0.991
0.583 0.388 0.118
0.583 0.612 0.618
0.587 0.115 0.183
0.587 0.885 0.683
0.604 0.300 0.430
0.604 0.700 0.930
0.692 0.267 0.237
0.692 0.733 0.737
0.808 0.233 0.737
0.808 0.767 0.237
0.896 0.200 0.930
0.896 0.800 0.430
0.913 0.385 0.683
0.913 0.615 0.183
0.917 0.112 0.618
0.917 0.888 0.118
0.977 0.353 0.991
0.977 0.647 0.491
```

Most intense lines, 10° ≤ 2θ ≤ 80°, in order of rising 2θ:
2θ = 14.1°, I = 100; 2θ = 17.9°, I = 20; 2θ = 28.4°, I = 26; 2θ = 29.2°, I = 30; 2θ = 31.9°, I = 23; 2θ = 33.7°, I = 16; 2θ = 34.3°, I = 15; 2θ = 35.0°, I = 23

=====

(7)
Theoretical powder XRD pattern of CaMgAu6 for Cu Kα X-rays, from the PBE geometry in Alexandria.

Crystal structure
```
CaMgAu6
1.0
4.869 0.000 0.000
0.000 6.071 0.000
0.000 0.000 5.170
Ca Mg Au
1 1 6
direct
0.000 0.000 0.000
0.500 0.500 0.329
0.000 0.262 0.496
0.000 0.500 0.003
0.000 0.738 0.496
0.500 0.000 0.362
0.500 0.262 0.837
0.500 0.738 0.837
```

Most intense lines, 10° ≤ 2θ ≤ 80°, in order of rising 2θ:
2θ = 23.4°, I = 16; 2θ = 34.3°, I = 20; 2θ = 36.9°, I = 38; 2θ = 39.1°, I = 100; 2θ = 39.5°, I = 42; 2θ = 61.9°, I = 17; 2θ = 68.0°, I = 20; 2θ = 74.3°, I = 19

=====

(8)
Theoretical powder XRD pattern of Tb2SmReN4 for Cu Kα X-rays, from the PBE geometry in Alexandria.

Crystal structure
```
Tb2SmReN4
1.0
1.730 -5.875 0.000
1.730 5.875 0.000
0.000 0.000 11.678
Tb Sm Re N
4 2 2 8
direct
0.131 0.869 0.539
0.131 0.869 0.961
0.869 0.131 0.039
0.869 0.131 0.461
0.377 0.623 0.750
0.623 0.377 0.250
0.359 0.641 0.250
0.641 0.359 0.750
0.059 0.941 0.750
0.235 0.765 0.131
0.235 0.765 0.369
0.500 0.500 0.000
0.500 0.500 0.500
0.765 0.235 0.631
0.765 0.235 0.869
0.941 0.059 0.250
```

Most intense lines, 10° ≤ 2θ ≤ 80°, in order of rising 2θ:
2θ = 30.4°, I = 61; 2θ = 30.6°, I = 45; 2θ = 31.0°, I = 100; 2θ = 38.0°, I = 100; 2θ = 43.7°, I = 33; 2θ = 49.4°, I = 19; 2θ = 62.3°, I = 24; 2θ = 63.6°, I = 24

=====

(9)
Theoretical powder XRD pattern of Dy2Ho2Te5 for Cu Kα X-rays, from the PBE geometry in Alexandria.

Crystal structure
```
Dy2Ho2Te5
1.0
9.165 -3.023 0.000
9.165 3.023 0.000
-0.008 0.000 6.119
Dy Ho Te
2 2 5
direct
0.184 0.184 0.000
0.816 0.816 0.000
0.343 0.343 0.500
0.657 0.657 0.500
0.168 0.168 0.500
0.349 0.349 0.000
0.500 0.500 0.500
0.651 0.651 0.000
0.832 0.832 0.500
```

Most intense lines, 10° ≤ 2θ ≤ 80°, in order of rising 2θ:
2θ = 19.4°, I = 19; 2θ = 29.2°, I = 100; 2θ = 29.5°, I = 54; 2θ = 41.8°, I = 34; 2θ = 42.0°, I = 75; 2θ = 52.0°, I = 36; 2θ = 69.3°, I = 17; 2θ = 76.4°, I = 14

=====

(10)
Theoretical powder XRD pattern of TlH6N for Cu Kα X-rays, from the PBE geometry in Alexandria.

Crystal structure
```
TlH6N
1.0
4.053 0.000 0.000
0.000 4.053 0.000
0.000 0.000 4.053
Tl H N
1 6 1
direct
0.000 0.000 0.000
0.122 0.500 0.500
0.500 0.122 0.500
0.500 0.500 0.122
0.500 0.500 0.878
0.500 0.878 0.500
0.878 0.500 0.500
0.500 0.500 0.500
```

Most intense lines, 10° ≤ 2θ ≤ 80°, in order of rising 2θ:
2θ = 21.9°, I = 85; 2θ = 31.2°, I = 100; 2θ = 38.5°, I = 31; 2θ = 44.7°, I = 20; 2θ = 50.3°, I = 42; 2θ = 55.5°, I = 39; 2θ = 69.6°, I = 21; 2θ = 74.0°, I = 17

=====

(11)
Theoretical powder XRD pattern of SrIn4Au6 for Cu Kα X-rays, from the PBE geometry in Alexandria.

Crystal structure
```
SrIn4Au6
1.0
-3.602 3.602 5.169
3.602 -3.602 5.169
3.602 3.602 -5.169
Sr In Au
1 4 6
direct
0.000 0.000 0.000
0.125 0.125 0.613
0.489 0.875 0.000
0.511 0.511 0.387
0.875 0.489 0.000
0.000 0.500 0.500
0.231 0.585 0.000
0.415 0.415 0.646
0.500 0.000 0.500
0.585 0.231 0.000
0.769 0.769 0.354
```

Most intense lines, 10° ≤ 2θ ≤ 80°, in order of rising 2θ:
2θ = 15.0°, I = 79; 2θ = 30.2°, I = 58; 2θ = 35.2°, I = 77; 2θ = 38.2°, I = 93; 2θ = 38.5°, I = 92; 2θ = 39.1°, I = 100; 2θ = 39.6°, I = 65; 2θ = 43.1°, I = 61

=====

(12)
Theoretical powder XRD pattern of Rb2LiCd12Ag3 for Cu Kα X-rays, from the PBE geometry in Alexandria.

Crystal structure
```
Rb2LiCd12Ag3
1.0
4.913 2.837 7.199
-4.913 2.837 7.199
0.000 -5.673 7.199
Rb Li Cd Ag
2 1 12 3
direct
0.122 0.122 0.122
0.878 0.878 0.878
0.500 0.500 0.500
0.163 0.608 0.608
0.181 0.181 0.660
0.181 0.660 0.181
0.340 0.819 0.819
0.392 0.392 0.837
0.392 0.837 0.392
0.608 0.163 0.608
0.608 0.608 0.163
0.660 0.181 0.181
0.819 0.340 0.819
0.819 0.819 0.340
0.837 0.392 0.392
0.000 0.500 0.500
0.500 0.000 0.500
0.500 0.500 0.000
```

Most intense lines, 10° ≤ 2θ ≤ 80°, in order of rising 2θ:
2θ = 18.1°, I = 25; 2θ = 21.3°, I = 46; 2θ = 24.7°, I = 31; 2θ = 26.7°, I = 37; 2θ = 29.5°, I = 29; 2θ = 36.6°, I = 100; 2θ = 44.7°, I = 36; 2θ = 53.4°, I = 44